(1)
Starting from a DFT-relaxed cell (GGA-PBE, Alexandria), the XRD peak list of Pm3Dy2Te5 was simulated for copper Kα.
Kinematic intensities with the Lorentz-polarization factor, no thermal factor.

Peak list (12 most intense, 15 to 90 degrees two-theta, in order of rising 2θ)
Position (°2θ)  d/Å  intensity  h k l
28.6  3.126  100  3 1 -2
40.8  2.213  38  5 1 0
40.9  2.208  38  0 2 0
50.5  1.809  7  8 0 -2
50.6  1.803  20  2 2 2
59.1  1.563  13  6 2 -4
66.9  1.399  17  8 2 -2
67.0  1.397  17  3 3 -2
74.2  1.279  6  10 0 0
74.4  1.276  15  5 3 0
74.4  1.275  4  1 3 -4
88.6  1.104  4  0 4 0

Atomic structure:
```
data_Pm3Dy2Te5
_chemical_formula_sum 'Pm6 Dy4 Te10'
_symmetry_space_group_name_H-M 'C 1 2/m 1'
_symmetry_Int_Tables_number 12
_symmetry_space_group_name_Hall '-C 2y'
_cell_length_a 14.697
_cell_length_b 4.415
_cell_length_c 10.826
_cell_angle_alpha 90.00
_cell_angle_beta 119.58
_cell_angle_gamma 90.00
loop_
_atom_site_label
_atom_site_type_symbol
_atom_site_fract_x
_atom_site_fract_y
_atom_site_fract_z
Pm1 Pm 0.000 0.000 0.000
Pm2 Pm 0.206 0.000 0.805
Dy1 Dy 0.097 0.500 0.401
Te1 Te 0.000 0.000 0.500
Te2 Te 0.097 0.500 0.893
Te3 Te 0.199 0.000 0.309
```

(2)
Starting from a DFT-relaxed cell (GGA-PBE, Alexandria), the XRD peak list of BeCrPt was simulated for copper Kα.
Kinematic intensities with the Lorentz-polarization factor, no thermal factor.

Peak list (12 most intense, 15 to 90 degrees two-theta, in order of rising 2θ)
Position (°2θ)  d/Å  intensity  h k l
24.5  3.637  7  1 0 0
31.1  2.878  100  1 0 1
38.3  2.352  8  0 0 2
43.1  2.100  50  1 1 0
45.9  1.975  28  1 0 2
54.1  1.696  22  2 0 1
59.0  1.567  15  1 1 2
64.8  1.440  23  1 0 3
71.5  1.320  19  2 1 1
79.0  1.212  8  3 0 0
81.0  1.187  17  2 0 3
81.9  1.176  2  0 0 4

Atomic structure:
```
data_BeCrPt
_chemical_formula_sum 'Be2 Cr2 Pt2'
_symmetry_space_group_name_H-M 'P -6 m 2'
_symmetry_Int_Tables_number 187
_symmetry_space_group_name_Hall 'P -6 2'
_cell_length_a 4.2001
_cell_length_b 4.2001
_cell_length_c 4.7046
_cell_angle_alpha 90.00
_cell_angle_beta 90.00
_cell_angle_gamma 120.00
loop_
_atom_site_label
_atom_site_type_symbol
_atom_site_fract_x
_atom_site_fract_y
_atom_site_fract_z
Be1 Be 0.0000 0.0000 0.0000
Be2 Be 0.3333 0.6667 0.5000
Cr1 Cr 0.6667 0.3333 0.2123
Pt1 Pt 0.0000 0.0000 0.5000
Pt2 Pt 0.3333 0.6667 0.0000
```

(3)
Starting from a DFT-relaxed cell (GGA-PBE, Alexandria), the XRD peak list of Y2ReMo2 was simulated for copper Kα.
Kinematic intensities with the Lorentz-polarization factor, no thermal factor.

Peak list (12 most intense, 15 to 90 degrees two-theta, in order of rising 2θ)
Position (°2θ)  d/Å  intensity  h k l
17.9  4.954  35  0 0 1
26.3  3.390  26  1 1 1
32.7  2.739  58  2 0 1
35.5  2.529  100  2 1 1
36.3  2.477  49  0 0 2
38.7  2.325  17  2 2 0
43.5  2.079  51  3 1 0
47.4  1.917  26  3 1 1
54.1  1.695  13  2 2 2
57.9  1.593  45  3 1 2
64.7  1.440  16  2 1 3
76.3  1.248  13  5 1 1

Atomic structure:
```
data_Y2ReMo2
_chemical_formula_sum 'Y4 Re2 Mo4'
_symmetry_space_group_name_H-M 'P 4/m b m'
_symmetry_Int_Tables_number 127
_symmetry_space_group_name_Hall '-P 4 2ab'
_cell_length_a 6.575
_cell_length_b 6.575
_cell_length_c 4.954
_cell_angle_alpha 90.00
_cell_angle_beta 90.00
_cell_angle_gamma 90.00
loop_
_atom_site_label
_atom_site_type_symbol
_atom_site_fract_x
_atom_site_fract_y
_atom_site_fract_z
Y1 Y 0.177 0.323 0.000
Re1 Re 0.000 0.000 0.500
Mo1 Mo 0.136 0.636 0.500
```